Entry 1:
Theoretical X-ray diffraction stick pattern
Compound: Ba2Co2ClF7
Radiation: Cu Kα X-rays
Structure: a crystal structure in Alexandria, relaxed with PBE+U

Atomic structure:
```
Ba2Co2ClF7
1.0
7.831 0.000 0.000
0.000 5.873 0.000
-2.686 0.000 8.635
Ba Co Cl F
4 4 2 14
Direct
0.167 0.250 0.412
0.200 0.250 0.927
0.800 0.750 0.073
0.833 0.750 0.588
0.317 0.750 0.176
0.327 0.750 0.734
0.673 0.250 0.266
0.683 0.250 0.824
0.382 0.750 0.470
0.618 0.250 0.530
0.130 0.507 0.161
0.130 0.993 0.161
0.139 0.502 0.655
0.139 0.998 0.655
0.245 0.750 0.933
0.494 0.001 0.170
0.494 0.499 0.170
0.506 0.501 0.830
0.506 0.999 0.830
0.755 0.250 0.067
0.861 0.002 0.345
0.861 0.498 0.345
0.870 0.007 0.839
0.870 0.493 0.839
```

Main lines, low angle first (2θ from 10° to 90°):
Position (°2θ)  Rel. int.
23.80  25
25.57  100
26.50  13
28.30  61
30.44  25
39.04  34
39.37  12
39.87  31
40.79  19
40.95  19
50.98  14
51.25  28

---

Entry 2:
Theoretical X-ray diffraction stick pattern
Compound: Ba2CoClF5
Radiation: Cu Kα X-rays
Structure: a crystal structure in Alexandria, relaxed with PBE+U

Atomic structure:
```
Ba2CoClF5
1.0
-3.059 3.059 4.403
3.059 -3.059 4.403
3.059 3.059 -4.403
Ba Co Cl F
2 1 1 5
Direct
0.000 0.500 0.500
0.500 0.000 0.500
0.295 0.295 0.000
0.579 0.579 0.000
0.059 0.059 0.000
0.076 0.076 0.537
0.076 0.539 0.000
0.539 0.076 0.000
0.539 0.539 0.463
```

Main lines, low angle first (2θ from 10° to 90°):
Position (°2θ)  Rel. int.
17.65  20
20.17  27
20.53  28
28.94  100
29.19  57
35.74  68
41.76  47
46.28  25
51.12  19
51.60  39
59.96  17
64.08  18